1.
Li5Hg3Pd: computed powder diffractogram (Cu Kα X-rays), based on a structure optimized by DFT (PBE).
Kinematic intensities with the Lorentz-polarization factor, no thermal factor.

Structure:
```
data_Li5Hg3Pd
_cell_length_a 5.8678
_cell_length_b 5.8678
_cell_length_c 10.9418
_cell_angle_alpha 95.98
_cell_angle_beta 95.98
_cell_angle_gamma 79.22
_space_group_name_H-M_alt 'P 1'
_space_group_IT_number 1
loop_
_space_group_symop_operation_xyz
'x,y,z'
loop_
_atom_site_label
_atom_site_type_symbol
_atom_site_fract_x
_atom_site_fract_y
_atom_site_fract_z
_atom_site_occupancy
Li1 Li 0.0317 0.0317 0.2914 1
Li2 Li 0.0957 0.5076 0.3283 1
Li3 Li 0.1699 0.8301 0.0000 1
Li4 Li 0.2375 0.2375 0.8607 1
Li5 Li 0.4924 0.9043 0.6717 1
Li6 Li 0.5076 0.0957 0.3283 1
Li7 Li 0.7625 0.7625 0.1393 1
Li8 Li 0.8301 0.1699 0.0000 1
Li9 Li 0.9043 0.4924 0.6717 1
Li10 Li 0.9683 0.9683 0.7086 1
Hg1 Hg 0.1778 0.1778 0.5332 1
Hg2 Hg 0.2371 0.2371 0.1242 1
Hg3 Hg 0.5000 0.5000 0.0000 1
Hg4 Hg 0.5000 0.5000 0.5000 1
Hg5 Hg 0.7629 0.7629 0.8758 1
Hg6 Hg 0.8222 0.8222 0.4668 1
Pd1 Pd 0.4636 0.4636 0.7436 1
Pd2 Pd 0.5364 0.5364 0.2564 1
```

Largest 10 diffraction maxima, sorted by position, 10 to 80 degrees two-theta:
- 2θ 15.43, I 416
- 2θ 16.35, I 330
- 2θ 21.55, I 320
- 2θ 23.53, I 320
- 2θ 23.78, I 1000
- 2θ 32.28, I 507
- 2θ 34.41, I 590
- 2θ 36.35, I 204
- 2θ 43.90, I 243
- 2θ 49.07, I 255


2.
Li3Hg2Pd7: computed powder diffractogram (Cu Kα X-rays), based on a structure optimized by DFT (PBE).
Kinematic intensities with the Lorentz-polarization factor, no thermal factor.

Structure:
```
data_Li3Hg2Pd7
_cell_length_a 10.4739
_cell_length_b 10.4739
_cell_length_c 4.5084
_cell_angle_alpha 90.00
_cell_angle_beta 90.00
_cell_angle_gamma 154.53
_space_group_name_H-M_alt 'P 1'
_space_group_IT_number 1
loop_
_space_group_symop_operation_xyz
'x,y,z'
loop_
_atom_site_label
_atom_site_type_symbol
_atom_site_fract_x
_atom_site_fract_y
_atom_site_fract_z
_atom_site_occupancy
Li1 Li 0.0000 0.0000 0.0000 1
Li2 Li 0.1516 0.8484 0.0000 1
Li3 Li 0.8484 0.1516 0.0000 1
Hg1 Hg 0.3524 0.6476 0.5000 1
Hg2 Hg 0.6476 0.3524 0.5000 1
Pd1 Pd 0.0723 0.9277 0.5000 1
Pd2 Pd 0.2166 0.7834 0.5000 1
Pd3 Pd 0.4307 0.5693 0.0000 1
Pd4 Pd 0.5000 0.5000 0.5000 1
Pd5 Pd 0.5693 0.4307 0.0000 1
Pd6 Pd 0.7834 0.2166 0.5000 1
Pd7 Pd 0.9277 0.0723 0.5000 1
```

Largest 10 diffraction maxima, sorted by position, 10 to 80 degrees two-theta:
- 2θ 19.70, I 852
- 2θ 36.41, I 267
- 2θ 39.01, I 309
- 2θ 40.00, I 290
- 2θ 41.73, I 1000
- 2θ 44.06, I 161
- 2θ 55.19, I 161
- 2θ 57.10, I 202
- 2θ 72.52, I 193
- 2θ 73.83, I 183


3.
Li2Pr2HgPd5: computed powder diffractogram (Cu Kα X-rays), based on a structure optimized by DFT (PBE).
Kinematic intensities with the Lorentz-polarization factor, no thermal factor.

Structure:
```
data_Li2Pr2HgPd5
_cell_length_a 9.6115
_cell_length_b 9.6115
_cell_length_c 3.9301
_cell_angle_alpha 90.00
_cell_angle_beta 90.00
_cell_angle_gamma 90.00
_space_group_name_H-M_alt 'P 1'
_space_group_IT_number 1
loop_
_space_group_symop_operation_xyz
'x,y,z'
loop_
_atom_site_label
_atom_site_type_symbol
_atom_site_fract_x
_atom_site_fract_y
_atom_site_fract_z
_atom_site_occupancy
Li1 Li 0.1158 0.3842 0.0000 1
Li2 Li 0.3842 0.8842 0.0000 1
Li3 Li 0.6158 0.1158 0.0000 1
Li4 Li 0.8842 0.6158 0.0000 1
Pr1 Pr 0.1821 0.6821 0.0000 1
Pr2 Pr 0.3179 0.1821 0.0000 1
Pr3 Pr 0.6821 0.8179 0.0000 1
Pr4 Pr 0.8179 0.3179 0.0000 1
Hg1 Hg 0.0000 0.0000 0.0000 1
Hg2 Hg 0.5000 0.5000 0.0000 1
Pd1 Pd 0.0000 0.5000 0.5000 1
Pd2 Pd 0.0670 0.2122 0.5000 1
Pd3 Pd 0.2122 0.9330 0.5000 1
Pd4 Pd 0.2878 0.4330 0.5000 1
Pd5 Pd 0.4330 0.7122 0.5000 1
Pd6 Pd 0.5000 0.0000 0.5000 1
Pd7 Pd 0.5670 0.2878 0.5000 1
Pd8 Pd 0.7122 0.5670 0.5000 1
Pd9 Pd 0.7878 0.0670 0.5000 1
Pd10 Pd 0.9330 0.7878 0.5000 1
```

Largest 10 diffraction maxima, sorted by position, 10 to 80 degrees two-theta:
- 2θ 26.20, I 158
- 2θ 30.83, I 481
- 2θ 34.90, I 415
- 2θ 37.41, I 1000
- 2θ 38.62, I 408
- 2θ 40.91, I 196
- 2θ 42.04, I 214
- 2θ 46.20, I 241
- 2θ 60.94, I 200
- 2θ 61.74, I 205


4.
Sr2LiHgPd6: computed powder diffractogram (Cu Kα X-rays), based on a structure optimized by DFT (PBE).
Kinematic intensities with the Lorentz-polarization factor, no thermal factor.

Structure:
```
data_Sr2LiHgPd6
_cell_length_a 5.5491
_cell_length_b 6.6483
_cell_length_c 6.8043
_cell_angle_alpha 69.32
_cell_angle_beta 66.03
_cell_angle_gamma 65.56
_space_group_name_H-M_alt 'P 1'
_space_group_IT_number 1
loop_
_space_group_symop_operation_xyz
'x,y,z'
loop_
_atom_site_label
_atom_site_type_symbol
_atom_site_fract_x
_atom_site_fract_y
_atom_site_fract_z
_atom_site_occupancy
Sr1 Sr 0.0016 0.2486 0.2479 1
Sr2 Sr 0.9984 0.7514 0.7521 1
Li1 Li 0.5000 0.5000 0.0000 1
Hg1 Hg 0.5000 0.0000 0.5000 1
Pd1 Pd 0.0050 0.6879 0.3056 1
Pd2 Pd 0.3042 0.9408 0.9520 1
Pd3 Pd 0.4995 0.6869 0.3065 1
Pd4 Pd 0.5005 0.3131 0.6935 1
Pd5 Pd 0.6958 0.0592 0.0480 1
Pd6 Pd 0.9950 0.3121 0.6944 1
```

Largest 10 diffraction maxima, sorted by position, 10 to 80 degrees two-theta:
- 2θ 15.01, I 425
- 2θ 18.50, I 372
- 2θ 29.66, I 330
- 2θ 35.81, I 320
- 2θ 36.21, I 602
- 2θ 37.39, I 365
- 2θ 37.51, I 1000
- 2θ 39.72, I 465
- 2θ 40.15, I 360
- 2θ 44.26, I 313